Calculated powder diffractogram of KBaAl3Si5O16 for Cu Kα, 1.54184 Å, from a DFT-relaxed cell (PBE, the Materials Project).
Lines closer than 0.1° are merged.

The 8 most intense peaks (10 to 90 degrees two-theta), in order of rising 2θ:
2θ (°)  I (rel.)
13.1  60
25.3  100
26.3  73
26.5  75
26.8  60
27.1  76
30.3  59
34.4  58

Atomic structure:
```
KBaAl3Si5O16
1.0
7.308 0.000 0.000
-1.873 7.666 0.000
-1.891 -3.680 6.766
K Ba Al Si O
1 1 3 5 16
direct
0.000 0.000 0.000
0.266 0.560 0.567
0.347 0.480 0.102
0.349 0.110 0.472
0.775 0.463 0.690
0.471 0.876 0.103
0.474 0.114 0.869
0.779 0.696 0.454
0.896 0.089 0.444
0.900 0.463 0.088
0.110 0.133 0.411
0.117 0.434 0.146
0.351 0.247 0.961
0.354 0.968 0.241
0.385 0.634 0.991
0.392 0.003 0.629
0.431 0.922 0.913
0.512 0.358 0.592
0.533 0.603 0.345
0.719 0.975 0.221
0.721 0.238 0.975
0.856 0.667 0.646
0.866 0.939 0.539
0.877 0.568 0.950
0.890 0.595 0.304
0.894 0.303 0.583
```

---

Calculated powder diffractogram of BaMg14Al for Cu Kα, 1.54184 Å, from a DFT-relaxed cell (PBE, the Materials Project).
Lines closer than 0.1° are merged.

The 8 most intense peaks (10 to 90 degrees two-theta), in order of rising 2θ:
2θ (°)  I (rel.)
17.6  44
23.0  30
31.3  28
34.3  37
35.6  52
35.8  100
62.3  18
66.8  19

Atomic structure:
```
BaMg14Al
1.0
10.470 0.000 0.000
0.000 3.293 5.756
0.000 -3.293 5.756
Ba Mg Al
1 14 1
direct
0.000 0.000 0.000
0.000 0.013 0.493
0.000 0.493 0.013
0.238 0.659 0.659
0.261 0.171 0.649
0.261 0.649 0.171
0.266 0.169 0.169
0.500 0.498 0.498
0.500 0.500 0.990
0.500 0.990 0.500
0.500 0.995 0.995
0.734 0.169 0.169
0.739 0.171 0.649
0.739 0.649 0.171
0.762 0.659 0.659
0.000 0.476 0.476
```

---

Calculated powder diffractogram of BaMg14Al for Cu Kα, 1.54184 Å, from a DFT-relaxed cell (PBE, the Materials Project).
Lines closer than 0.1° are merged.

The 8 most intense peaks (10 to 90 degrees two-theta), in order of rising 2θ:
2θ (°)  I (rel.)
15.6  20
17.7  28
22.9  19
31.5  27
33.8  25
35.8  100
61.7  18
67.1  19

Atomic structure:
```
BaMg14Al
1.0
6.562 0.000 0.000
-3.281 5.683 0.000
0.000 0.000 10.622
Ba Mg Al
1 14 1
direct
0.000 0.000 0.000
0.013 0.506 0.000
0.170 0.340 0.267
0.170 0.340 0.733
0.170 0.830 0.267
0.170 0.830 0.733
0.494 0.506 0.000
0.494 0.987 0.000
0.503 0.006 0.500
0.503 0.497 0.500
0.660 0.830 0.267
0.660 0.830 0.733
0.667 0.333 0.244
0.667 0.333 0.756
0.994 0.497 0.500
0.000 0.000 0.500
```